Ba2Li3Ho3W8O32: theoretical PXRD pattern (Cu Kα), based on DFT lattice parameters and positions (GGA+U).

The 6 most intense peaks (2θ from 10° to 80°), by angle:
- hkl 1 0 1, 18.6 deg, intensity 40
- hkl 1 0 4, 25.7 deg, intensity 47
- hkl -1 1 1, 26.4 deg, intensity 100
- hkl -1 1 2, 27.6 deg, intensity 46
- hkl 1 1 5, 29.3 deg, intensity 62
- hkl 0 1 6, 30.9 deg, intensity 61

Atomic structure:
abc: 5.188 6.958 19.072
angles: 87.53 87.66 70.94
Space group P1 (No. 1)
Asymmetric unit:
Ba: 0.000 0.000 0.000 x1
Ba: 0.073 0.875 0.477 x1
Li: 0.340 0.308 0.486 x1
Li: 0.737 0.605 0.006 x1
Li: 0.872 0.193 0.197 x1
Ho: 0.118 0.665 0.262 x1
Ho: 0.220 0.650 0.717 x1
Ho: 0.968 0.216 0.777 x1
W: 0.330 0.400 0.088 x1
W: 0.363 0.140 0.331 x1
W: 0.371 0.413 0.900 x1
W: 0.501 0.924 0.151 x1
W: 0.560 0.049 0.643 x1
W: 0.629 0.807 0.839 x1
W: 0.749 0.428 0.380 x1
W: 0.816 0.437 0.601 x1
O: 0.030 0.317 0.288 x1
O: 0.044 0.405 0.677 x1
O: 0.050 0.613 0.057 x1
O: 0.087 0.254 0.419 x1
O: 0.153 0.315 0.955 x1
O: 0.154 0.212 0.111 x1
O: 0.180 0.445 0.815 x1
O: 0.186 0.919 0.201 x1
O: 0.279 0.906 0.345 x1
O: 0.314 0.973 0.702 x1
O: 0.328 0.032 0.842 x1
O: 0.363 0.679 0.906 x1
O: 0.384 0.081 0.560 x1
O: 0.393 0.494 0.171 x1
O: 0.462 0.444 0.318 x1
O: 0.474 0.618 0.614 x1
O: 0.479 0.819 0.067 x1
O: 0.534 0.512 0.458 x1
O: 0.568 0.388 0.007 x1
O: 0.571 0.076 0.250 x1
O: 0.612 0.599 0.781 x1
O: 0.616 0.258 0.696 x1
O: 0.636 0.132 0.397 x1
O: 0.669 0.118 0.115 x1
O: 0.708 0.235 0.875 x1
O: 0.768 0.715 0.191 x1
O: 0.803 0.193 0.569 x1
O: 0.805 0.762 0.921 x1
O: 0.849 0.656 0.362 x1
O: 0.863 0.826 0.640 x1
O: 0.883 0.891 0.783 x1
O: 0.998 0.528 0.533 x1